Record 1
Diffraction record for Rb2NaF6. The X-ray diffraction stick pattern is computed, not measured: it uses a crystal structure in Alexandria, relaxed with GGA-PBE and copper Kα.

Atomic structure:
Cell: 7.5883 7.5883 4.0480 Å, 95.69 95.69 53.85°
Fractional coordinates of all 9 atoms:
Rb 0.0000 0.0000 0.0000
Rb 0.7302 0.7302 0.5231
Na 0.3003 0.3003 0.5634
F 0.0631 0.5282 0.0597
F 0.1466 0.6590 0.4405
F 0.2795 0.9914 0.5521
F 0.5282 0.0631 0.0597
F 0.6590 0.1466 0.4405
F 0.9914 0.2795 0.5521

Principal peaks in the range 10° ≤ 2θ ≤ 90°, by angle:
Position (°2θ)  I_rel
14.47  100
23.70  73
25.90  44
27.09  68
35.97  81
37.83  43

***

Record 2
Diffraction record for Tb5Pm3Ho4. The X-ray diffraction stick pattern is computed, not measured: it uses a crystal structure in Alexandria, relaxed with GGA-PBE and copper Kα.

Atomic structure:
Cell: 6.1822 7.1384 8.7395 Å, 90.05 90.10 90.15°
Fractional coordinates of all 12 atoms:
Tb 0.0000 0.0000 0.0000
Tb 0.3344 0.5001 0.3336
Tb 0.4989 0.7513 0.9998
Tb 0.5011 0.2487 0.0002
Tb 0.6656 0.4999 0.6664
Pm 0.0000 0.5000 0.0000
Pm 0.1660 0.2490 0.6659
Pm 0.8340 0.7510 0.3341
Ho 0.1676 0.7511 0.6662
Ho 0.3338 0.0001 0.3334
Ho 0.6662 0.9999 0.6666
Ho 0.8324 0.2489 0.3338

Principal peaks in the range 10° ≤ 2θ ≤ 90°, by angle:
Position (°2θ)  I_rel
30.68  100
35.58  51
51.17  24
51.25  12
60.84  29
60.95  14

***

Record 3
Diffraction record for MnZn3Br9. The X-ray diffraction stick pattern is computed, not measured: it uses a crystal structure in Alexandria, relaxed with GGA-PBE and copper Kα.

Atomic structure:
Cell: 10.1459 10.1459 13.1914 Å, 125.40 125.40 53.90°
Fractional coordinates of all 26 atoms:
Mn 0.2297 0.7703 0.5000
Mn 0.7703 0.2297 0.0000
Zn 0.0090 0.2276 0.8116
Zn 0.2276 0.0090 0.3116
Zn 0.2993 0.4417 0.6749
Zn 0.4417 0.2993 0.1749
Zn 0.6681 0.7906 0.2241
Zn 0.7906 0.6681 0.7241
Br 0.0659 0.1881 0.1715
Br 0.0659 0.9087 0.3110
Br 0.1693 0.4155 0.0073
Br 0.1881 0.0659 0.6715
Br 0.3173 0.4596 0.3580
Br 0.3181 0.6892 0.7093
Br 0.4155 0.1693 0.5073
Br 0.4402 0.7510 0.2079
Br 0.4596 0.3173 0.8580
Br 0.5037 0.9902 0.1040
Br 0.5111 0.7633 0.5431
Br 0.6892 0.3181 0.2093
Br 0.7510 0.4402 0.7079
Br 0.7633 0.5111 0.0431
Br 0.8079 0.9115 0.9363
Br 0.9087 0.0659 0.8110
Br 0.9115 0.8079 0.4363
Br 0.9902 0.5037 0.6040

Principal peaks in the range 10° ≤ 2θ ≤ 90°, by angle:
Position (°2θ)  I_rel
16.94  89
18.32  44
26.68  60
28.03  37
28.42  100
28.99  38

***

Record 4
Diffraction record for MnFe5Ge3. The X-ray diffraction stick pattern is computed, not measured: it uses a crystal structure in Alexandria, relaxed with GGA-PBE and copper Kα.

Atomic structure:
Cell: 7.0630 7.0630 5.0049 Å, 90.00 90.00 120.00°
Fractional coordinates of all 18 atoms:
Mn 0.0000 0.0000 0.0000
Mn 0.0000 0.0000 0.5000
Fe 0.0000 0.3391 0.1915
Fe 0.0000 0.6609 0.8085
Fe 0.3333 0.6667 0.0000
Fe 0.3333 0.6667 0.5000
Fe 0.3391 0.0000 0.1915
Fe 0.3391 0.3391 0.8085
Fe 0.6609 0.0000 0.8085
Fe 0.6609 0.6609 0.1915
Fe 0.6667 0.3333 0.0000
Fe 0.6667 0.3333 0.5000
Ge 0.0000 0.3282 0.7021
Ge 0.0000 0.6718 0.2979
Ge 0.3282 0.0000 0.7021
Ge 0.3282 0.3282 0.2979
Ge 0.6718 0.0000 0.2979
Ge 0.6718 0.6718 0.7021

Principal peaks in the range 10° ≤ 2θ ≤ 90°, by angle:
Position (°2θ)  I_rel
35.89  2
44.40  100
58.38  3
64.60  15
81.64  6
81.79  22

***

Record 5
Diffraction record for AcY2MnN4. The X-ray diffraction stick pattern is computed, not measured: it uses a crystal structure in Alexandria, relaxed with GGA-PBE and copper Kα.

Atomic structure:
Cell: 6.1749 6.1749 11.7507 Å, 90.00 90.00 147.17°
Fractional coordinates of all 16 atoms:
Ac 0.0999 0.9001 0.7500
Ac 0.9001 0.0999 0.2500
Y 0.3695 0.6305 0.5454
Y 0.3695 0.6305 0.9546
Y 0.6305 0.3695 0.0454
Y 0.6305 0.3695 0.4546
Mn 0.1674 0.8326 0.2500
Mn 0.8326 0.1674 0.7500
N 0.0000 0.0000 0.0000
N 0.0000 0.0000 0.5000
N 0.2653 0.7347 0.1242
N 0.2653 0.7347 0.3758
N 0.4173 0.5827 0.7500
N 0.5827 0.4173 0.2500
N 0.7347 0.2653 0.6242
N 0.7347 0.2653 0.8758

Principal peaks in the range 10° ≤ 2θ ≤ 90°, by angle:
Position (°2θ)  I_rel
27.30  66
30.18  40
30.74  100
35.16  65
37.65  47
52.38  46

***

Record 6
Diffraction record for CaPrPdPt. The X-ray diffraction stick pattern is computed, not measured: it uses a crystal structure in Alexandria, relaxed with GGA-PBE and copper Kα.

Atomic structure:
Cell: 4.5179 5.7588 5.7588 Å, 40.26 90.00 90.00°
Fractional coordinates of all 4 atoms:
Ca 0.0000 0.0000 0.0000
Pr 0.5000 0.7217 0.7217
Pd 0.0000 0.2807 0.2807
Pt 0.5000 0.4428 0.4428

Principal peaks in the range 10° ≤ 2θ ≤ 90°, by angle:
Position (°2θ)  I_rel
19.65  29
23.91  38
31.14  97
38.82  41
39.23  100
39.91  35

***

Record 7
Diffraction record for Ce2RePt. The X-ray diffraction stick pattern is computed, not measured: it uses a crystal structure in Alexandria, relaxed with GGA-PBE and copper Kα.

Atomic structure:
Cell: 3.4503 3.4503 7.2816 Å, 90.00 90.00 90.00°
Fractional coordinates of all 4 atoms:
Ce 0.0000 0.0000 0.2408
Ce 0.0000 0.0000 0.7592
Re 0.5000 0.5000 0.0000
Pt 0.5000 0.5000 0.5000

Principal peaks in the range 10° ≤ 2θ ≤ 90°, by angle:
Position (°2θ)  I_rel
35.86  100
36.84  47
53.09  16
63.79  19
65.73  35
76.00  11

***

Record 8
Diffraction record for Ac2Pr3Y3. The X-ray diffraction stick pattern is computed, not measured: it uses a crystal structure in Alexandria, relaxed with GGA-PBE and copper Kα.

Atomic structure:
Cell: 9.0223 9.0223 17.8138 Å, 90.00 90.00 155.30°
Fractional coordinates of all 16 atoms:
Ac 0.2483 0.7517 0.6061
Ac 0.2483 0.7517 0.8939
Ac 0.7517 0.2483 0.1061
Ac 0.7517 0.2483 0.3939
Pr 0.0934 0.9066 0.0403
Pr 0.0934 0.9066 0.4597
Pr 0.1158 0.8842 0.7500
Pr 0.8842 0.1158 0.2500
Pr 0.9066 0.0934 0.5403
Pr 0.9066 0.0934 0.9597
Y 0.0922 0.9078 0.2500
Y 0.4568 0.5432 0.1190
Y 0.4568 0.5432 0.3810
Y 0.5432 0.4568 0.6190
Y 0.5432 0.4568 0.8810
Y 0.9078 0.0922 0.7500

Principal peaks in the range 10° ≤ 2θ ≤ 90°, by angle:
Position (°2θ)  I_rel
28.10  54
28.49  76
30.43  38
31.08  46
31.56  100
42.87  31

***

Record 9
Diffraction record for Sc5ZnCd. The X-ray diffraction stick pattern is computed, not measured: it uses a crystal structure in Alexandria, relaxed with GGA-PBE and copper Kα.

Atomic structure:
Cell: 6.0472 6.0472 10.6585 Å, 101.99 101.99 59.30°
Fractional coordinates of all 14 atoms:
Sc 0.0472 0.2446 0.5551
Sc 0.1481 0.3707 0.8415
Sc 0.2181 0.7819 0.7500
Sc 0.2446 0.0472 0.0551
Sc 0.3707 0.1481 0.3415
Sc 0.6293 0.8519 0.6585
Sc 0.7554 0.9528 0.9449
Sc 0.7819 0.2181 0.2500
Sc 0.8519 0.6293 0.1585
Sc 0.9528 0.7554 0.4449
Zn 0.5000 0.5000 0.0000
Zn 0.5000 0.5000 0.5000
Cd 0.2991 0.7009 0.2500
Cd 0.7009 0.2991 0.7500

Principal peaks in the range 10° ≤ 2θ ≤ 90°, by angle:
Position (°2θ)  I_rel
17.38  55
34.64  99
34.79  100
34.93  95
36.98  72
40.89  67

***

Record 10
Diffraction record for RbMg2In2Hg2. The X-ray diffraction stick pattern is computed, not measured: it uses a crystal structure in Alexandria, relaxed with GGA-PBE and copper Kα.

Atomic structure:
Cell: 10.7992 10.7992 10.7992 Å, 25.91 25.91 25.91°
Fractional coordinates of all 7 atoms:
Rb 0.0000 0.0000 0.0000
Mg 0.1408 0.1408 0.1408
Mg 0.8592 0.8592 0.8592
In 0.2491 0.2491 0.2491
In 0.7509 0.7509 0.7509
Hg 0.4454 0.4454 0.4454
Hg 0.5546 0.5546 0.5546

Principal peaks in the range 10° ≤ 2θ ≤ 90°, by angle:
Position (°2θ)  I_rel
24.08  64
25.61  43
29.20  57
35.80  61
37.13  100
45.66  47

***

Record 11
Diffraction record for FeTc5Ge6. The X-ray diffraction stick pattern is computed, not measured: it uses a crystal structure in Alexandria, relaxed with GGA-PBE and copper Kα.

Atomic structure:
Cell: 5.0733 5.0733 8.1296 Å, 96.08 96.08 119.87°
Fractional coordinates of all 12 atoms:
Fe 0.0000 0.0000 0.0000
Tc 0.1628 0.8372 0.5000
Tc 0.3307 0.6693 0.0000
Tc 0.5000 0.5000 0.5000
Tc 0.6693 0.3307 0.0000
Tc 0.8372 0.1628 0.5000
Ge 0.0845 0.4157 0.2498
Ge 0.2507 0.2507 0.7536
Ge 0.4157 0.0845 0.2498
Ge 0.5843 0.9155 0.7502
Ge 0.7493 0.7493 0.2464
Ge 0.9155 0.5843 0.7502

Principal peaks in the range 10° ≤ 2θ ≤ 90°, by angle:
Position (°2θ)  I_rel
38.46  51
38.60  100
45.67  31
47.03  84
63.43  22
81.73  21

***

Record 12
Diffraction record for Nd2YPt9. The X-ray diffraction stick pattern is computed, not measured: it uses a crystal structure in Alexandria, relaxed with GGA-PBE and copper Kα.

Atomic structure:
Cell: 9.4846 9.4846 9.4846 Å, 33.38 33.38 33.38°
Fractional coordinates of all 12 atoms:
Nd 0.1388 0.1388 0.1388
Nd 0.8612 0.8612 0.8612
Y 0.0000 0.0000 0.0000
Pt 0.0805 0.5858 0.5858
Pt 0.3330 0.3330 0.3330
Pt 0.4142 0.4142 0.9195
Pt 0.4142 0.9195 0.4142
Pt 0.5000 0.5000 0.5000
Pt 0.5858 0.0805 0.5858
Pt 0.5858 0.5858 0.0805
Pt 0.6670 0.6670 0.6670
Pt 0.9195 0.4142 0.4142

Principal peaks in the range 10° ≤ 2θ ≤ 90°, by angle:
Position (°2θ)  I_rel
19.10  33
38.30  25
38.71  100
40.32  26
41.83  50
68.95  26

***

Repeat the eleventh record exactly.
Diffraction record for FeTc5Ge6. The X-ray diffraction stick pattern is computed, not measured: it uses a crystal structure in Alexandria, relaxed with GGA-PBE and copper Kα.

Atomic structure:
Cell: 5.0733 5.0733 8.1296 Å, 96.08 96.08 119.87°
Fractional coordinates of all 12 atoms:
Fe 0.0000 0.0000 0.0000
Tc 0.1628 0.8372 0.5000
Tc 0.3307 0.6693 0.0000
Tc 0.5000 0.5000 0.5000
Tc 0.6693 0.3307 0.0000
Tc 0.8372 0.1628 0.5000
Ge 0.0845 0.4157 0.2498
Ge 0.2507 0.2507 0.7536
Ge 0.4157 0.0845 0.2498
Ge 0.5843 0.9155 0.7502
Ge 0.7493 0.7493 0.2464
Ge 0.9155 0.5843 0.7502

Principal peaks in the range 10° ≤ 2θ ≤ 90°, by angle:
Position (°2θ)  I_rel
38.46  51
38.60  100
45.67  31
47.03  84
63.43  22
81.73  21